# 1
Diffraction record for CeB2PdPt5. The powder diffraction line list is calculated, not measured: it uses a cell relaxed with GGA-PBE and copper Kα.

Principal peaks in the range 2θ from 5° to 70°, most intense first:
| two_theta | intensity |
| --- | --- |
| 37.06 | 100 |
| 45.84 | 35 |
| 27.53 | 34 |
| 33.31 | 25 |
| 57.74 | 24 |
| 54.31 | 21 |
| 66.84 | 11 |
| 42.69 | 10 |
| 60.31 | 9 |
| 24.28 | 7 |

Structure:
Cell: 3.9590 3.9590 9.7189 Å, 90.00 90.00 90.00°
Fractional positions:
Ce (0.0000, 0.0000, 0.0000)
B (0.5000, 0.5000, 0.2207)
B (0.5000, 0.5000, 0.7793)
Pd (0.0000, 0.0000, 0.5000)
Pt (0.0000, 0.5000, 0.3022)
Pt (0.0000, 0.5000, 0.6978)
Pt (0.5000, 0.0000, 0.3022)
Pt (0.5000, 0.0000, 0.6978)
Pt (0.5000, 0.5000, 0.0000)

# 2
Diffraction record for Li4Ti5O12. The powder diffraction line list is calculated, not measured: it uses a cell relaxed with GGA-PBE and copper Kα.

Principal peaks in the range 2θ from 5° to 70°, most intense first:
| two_theta | intensity |
| --- | --- |
| 18.23 | 100 |
| 42.79 | 41 |
| 62.33 | 30 |
| 43.08 | 21 |
| 35.18 | 20 |
| 35.41 | 14 |
| 35.28 | 9 |
| 56.64 | 8 |
| 15.29 | 8 |
| 56.95 | 7 |

Structure:
Cell: 5.9556 5.9556 13.3555 Å, 102.75 102.75 89.68°
Fractional positions:
Li (0.0000, 0.5000, 0.5000)
Li (0.1287, 0.8713, 0.7500)
Li (0.1999, 0.4640, 0.9165)
Li (0.4640, 0.1999, 0.4165)
Li (0.5000, 0.0000, 0.0000)
Li (0.5360, 0.8001, 0.5835)
Li (0.8001, 0.5360, 0.0835)
Li (0.8713, 0.1287, 0.2500)
Ti (0.0000, 0.0000, 0.0000)
Ti (0.0000, 0.0000, 0.5000)
Ti (0.1615, 0.6575, 0.3371)
Ti (0.3337, 0.3346, 0.6562)
Ti (0.3346, 0.3337, 0.1562)
Ti (0.3425, 0.8385, 0.1629)
Ti (0.6575, 0.1615, 0.8371)
Ti (0.6654, 0.6663, 0.8438)
Ti (0.6663, 0.6654, 0.3438)
Ti (0.8385, 0.3425, 0.6629)
O (0.0837, 0.0997, 0.6572)
O (0.0890, 0.5449, 0.6694)
O (0.0997, 0.0837, 0.1572)
O (0.1173, 0.5897, 0.1773)
O (0.2226, 0.7586, 0.4859)
O (0.2402, 0.2400, 0.0114)
O (0.2400, 0.2402, 0.5114)
O (0.2414, 0.7774, 0.0141)
O (0.4103, 0.8827, 0.3227)
O (0.4129, 0.4427, 0.3284)
O (0.4427, 0.4129, 0.8284)
O (0.4551, 0.9110, 0.8306)
O (0.5449, 0.0890, 0.1694)
O (0.5573, 0.5871, 0.1716)
O (0.5871, 0.5573, 0.6716)
O (0.5897, 0.1173, 0.6773)
O (0.7586, 0.2226, 0.9859)
O (0.7600, 0.7598, 0.4886)
O (0.7598, 0.7600, 0.9886)
O (0.7774, 0.2414, 0.5141)
O (0.8827, 0.4103, 0.8227)
O (0.9003, 0.9163, 0.8428)
O (0.9110, 0.4551, 0.3306)
O (0.9163, 0.9003, 0.3428)

# 3
Diffraction record for Sm8RuRh2. The powder diffraction line list is calculated, not measured: it uses a cell relaxed with GGA-PBE and copper Kα.

Principal peaks in the range 2θ from 5° to 70°, most intense first:
| two_theta | intensity |
| --- | --- |
| 30.48 | 100 |
| 33.24 | 89 |
| 31.81 | 89 |
| 38.35 | 81 |
| 29.72 | 79 |
| 31.91 | 65 |
| 36.22 | 51 |
| 33.96 | 48 |
| 34.39 | 43 |
| 53.82 | 34 |

Structure:
Cell: 7.6631 7.6631 6.1844 Å, 101.00 101.00 114.31°
Fractional positions:
Sm (0.0000, 0.0000, 0.0000)
Sm (0.0156, 0.2722, 0.5671)
Sm (0.1428, 0.5597, 0.1776)
Sm (0.2722, 0.0156, 0.5671)
Sm (0.4376, 0.6950, 0.7712)
Sm (0.5597, 0.1428, 0.1776)
Sm (0.6950, 0.4376, 0.7712)
Sm (0.7104, 0.7104, 0.3607)
Ru (0.3564, 0.3564, 0.3176)
Rh (0.0495, 0.6673, 0.6782)
Rh (0.6673, 0.0495, 0.6782)

# 4
Diffraction record for TlH2Au. The powder diffraction line list is calculated, not measured: it uses a cell relaxed with GGA-PBE and copper Kα.

Principal peaks in the range 2θ from 5° to 70°, most intense first:
| two_theta | intensity |
| --- | --- |
| 7.03 | 100 |
| 22.91 | 12 |
| 35.38 | 9 |
| 35.27 | 9 |
| 38.82 | 8 |
| 38.96 | 8 |
| 46.22 | 6 |
| 35.69 | 5 |
| 28.90 | 5 |
| 28.77 | 5 |

Structure:
Cell: 3.9262 3.9302 12.8657 Å, 81.53 81.43 90.00°
Fractional positions:
Tl (0.0923, 0.0915, 0.3099)
Tl (0.9077, 0.9085, 0.6901)
H (0.2677, 0.2665, 0.9663)
H (0.2958, 0.2958, 0.9066)
H (0.7042, 0.7042, 0.0934)
H (0.7323, 0.7335, 0.0337)
Au (0.0000, 0.5000, 0.5000)
Au (0.5000, 0.0000, 0.5000)

# 5
Diffraction record for Ca4Mg4Fe3H22. The powder diffraction line list is calculated, not measured: it uses a cell relaxed with GGA-PBE and copper Kα.

Principal peaks in the range 2θ from 5° to 70°, most intense first:
| two_theta | intensity |
| --- | --- |
| 38.35 | 100 |
| 23.21 | 68 |
| 33.05 | 43 |
| 45.30 | 26 |
| 59.03 | 19 |
| 69.34 | 18 |
| 30.10 | 16 |
| 55.35 | 12 |
| 43.09 | 12 |
| 60.82 | 12 |

Structure:
Cell: 6.6390 6.6390 6.6390 Å, 90.00 90.00 90.00°
Fractional positions:
Ca (0.2077, 0.2077, 0.2077)
Ca (0.2077, 0.7923, 0.7923)
Ca (0.7923, 0.2077, 0.7923)
Ca (0.7923, 0.7923, 0.2077)
Mg (0.2877, 0.2877, 0.7123)
Mg (0.2877, 0.7123, 0.2877)
Mg (0.7123, 0.2877, 0.2877)
Mg (0.7123, 0.7123, 0.7123)
Fe (0.0000, 0.5000, 0.5000)
Fe (0.5000, 0.0000, 0.5000)
Fe (0.5000, 0.5000, 0.0000)
H (0.0000, 0.2619, 0.5000)
H (0.0000, 0.5000, 0.2619)
H (0.0000, 0.5000, 0.7381)
H (0.0000, 0.7381, 0.5000)
H (0.1269, 0.1269, 0.8731)
H (0.1269, 0.8731, 0.1269)
H (0.2375, 0.5000, 0.5000)
H (0.2619, 0.0000, 0.5000)
H (0.2619, 0.5000, 0.0000)
H (0.5000, 0.0000, 0.2619)
H (0.5000, 0.0000, 0.7381)
H (0.5000, 0.2375, 0.5000)
H (0.5000, 0.2619, 0.0000)
H (0.5000, 0.5000, 0.2375)
H (0.5000, 0.5000, 0.7625)
H (0.5000, 0.7381, 0.0000)
H (0.5000, 0.7625, 0.5000)
H (0.7381, 0.0000, 0.5000)
H (0.7381, 0.5000, 0.0000)
H (0.7625, 0.5000, 0.5000)
H (0.8731, 0.1269, 0.1269)
H (0.8731, 0.8731, 0.8731)